Calculated PXRD pattern
Compound: La5Pr12Ho2
Radiation: Cu Kα X-rays
Structure: a cell relaxed with GGA-PBE
Kinematic intensities with the Lorentz-polarization factor, no thermal factor.

The 10 most intense peaks (10 to 90 degrees two-theta), in order of rising 2θ:
2θ = 29.80°, I 100.0; 2θ = 33.94°, I 35.7; 2θ = 35.73°, I 14.7; 2θ = 48.76°, I 12.6; 2θ = 50.11°, I 22.4; 2θ = 58.14°, I 15.1; 2θ = 58.26°, I 13.6; 2θ = 60.58°, I 11.8; 2θ = 61.91°, I 11.8; 2θ = 81.40°, I 7.1

Structural model:
a b c (Å): 13.8804 13.8804 13.8804
angles (deg): 158.03 135.32 50.32
Fractional positions:
La 0.0000 0.0000 0.0000
La 0.1987 0.1987 0.0000
La 0.3022 0.8022 0.5000
La 0.6978 0.1978 0.5000
La 0.8013 0.8013 0.0000
Pr 0.0593 0.3040 0.7553
Pr 0.0995 0.5995 0.5000
Pr 0.1641 0.9064 0.2578
Pr 0.3514 0.0936 0.2578
Pr 0.4088 0.4088 0.0000
Pr 0.4513 0.6960 0.7553
Pr 0.5487 0.3040 0.2447
Pr 0.5912 0.5912 0.0000
Pr 0.6486 0.9064 0.7422
Pr 0.8359 0.0936 0.7422
Pr 0.9005 0.4005 0.5000
Pr 0.9407 0.6960 0.2447
Ho 0.2267 0.5000 0.7267
Ho 0.7733 0.5000 0.2733